# 1
Simulated X-ray diffraction stick pattern of Ag2Hg7P8I6 for copper Kα, from a crystal structure in Alexandria, relaxed with GGA-PBE.
No peak broadening, texture or thermal motion is included.

Principal peaks in the range 15° ≤ 2θ ≤ 90°, in order of rising 2θ:
| 2θ (°) | intensity |
| --- | --- |
| 27.36 | 40 |
| 27.68 | 36 |
| 31.54 | 100 |
| 31.94 | 35 |
| 32.16 | 39 |
| 48.27 | 22 |

```
data_Ag2Hg7P8I6
_chemical_formula_sum 'Ag4 Hg14 P16 I12'
_symmetry_space_group_name_H-M 'C 1 2/m 1'
_symmetry_Int_Tables_number 12
_cell_length_a 13.394
_cell_length_b 11.189
_cell_length_c 8.536
_cell_angle_alpha 90.00
_cell_angle_beta 102.71
_cell_angle_gamma 90.00
loop_
_symmetry_equiv_pos_as_xyz
'x,y,z'
'-x,-y,-z'
'-x,y,-z'
'x,-y,z'
'x+1/2,y+1/2,z'
'-x+1/2,-y+1/2,-z'
'-x+1/2,y+1/2,-z'
'x+1/2,-y+1/2,z'
loop_
_atom_site_label
_atom_site_type_symbol
_atom_site_fract_x
_atom_site_fract_y
_atom_site_fract_z
_atom_site_occupancy
Ag1 Ag 0.250 0.250 0.000 1
Hg1 Hg 0.000 0.000 0.500 1
Hg2 Hg 0.046 0.317 0.266 1
Hg3 Hg 0.228 0.500 0.634 1
P1 P 0.061 0.500 0.435 1
P2 P 0.079 0.158 0.079 1
P3 P 0.085 0.000 0.241 1
I1 I 0.147 0.500 0.964 1
I2 I 0.161 0.199 0.650 1
```



# 2
Simulated X-ray diffraction stick pattern of Ca2LaTl2Cd2 for copper Kα, from a crystal structure in Alexandria, relaxed with GGA-PBE.
No peak broadening, texture or thermal motion is included.

Principal peaks in the range 15° ≤ 2θ ≤ 90°, in order of rising 2θ:
| 2θ (°) | intensity |
| --- | --- |
| 18.52 | 36 |
| 32.21 | 99 |
| 35.47 | 100 |
| 40.30 | 31 |
| 48.66 | 31 |
| 61.65 | 30 |

```
data_Ca2LaTl2Cd2
_chemical_formula_sum 'Ca6 La3 Tl6 Cd6'
_symmetry_space_group_name_H-M 'R -3 m'
_symmetry_Int_Tables_number 166
_symmetry_space_group_name_Hall '-R 3 2"'
_cell_length_a 5.0611
_cell_length_b 5.0611
_cell_length_c 28.7503
_cell_angle_alpha 90.00
_cell_angle_beta 90.00
_cell_angle_gamma 120.00
loop_
_atom_site_label
_atom_site_type_symbol
_atom_site_fract_x
_atom_site_fract_y
_atom_site_fract_z
_atom_site_occupancy
Ca1 Ca 0.0000 0.0000 0.1279 1
La1 La 0.0000 0.0000 0.0000 1
Tl1 Tl 0.0000 0.0000 0.2546 1
Cd1 Cd 0.0000 0.0000 0.3940 1
```